Ba2NaCe2Ti2FeSi8HO27: simulated powder XRD pattern (Cu Kα X-rays), based on a structure optimized by DFT (GGA+U).
Intensities are scaled so that the largest is 100.

abc: 10.5711 9.8059 11.8844
angles: 90.00 110.50 90.00
Space group C2 (No. 5)
One atom of each set of equivalent atoms:
Ba  0.2498  0.0000  0.0045 x4
Na  0.0000  0.0534  0.5000 x2
Ce  0.1559  0.7194  0.4614 x4
Ti  0.0515  0.7453  0.1286 x4
Fe  0.0000  0.3813  0.5000 x2
Si  0.0991  0.4380  0.2769 x4
Si  0.1186  0.2375  0.7547 x4
Si  0.1244  0.0430  0.2896 x4
Si  0.1929  0.7672  0.7593 x4
H  0.0000  0.2208  0.0000 x2
O  0.0000  0.5821  0.5000 x2
O  0.0000  0.6139  0.0000 x2
O  0.0000  0.8760  0.0000 x2
O  0.0299  0.1065  0.7782 x4
O  0.0566  0.3795  0.7946 x4
O  0.0884  0.8057  0.6266 x4
O  0.0908  0.6042  0.2712 x4
O  0.1163  0.8809  0.2598 x4
O  0.1229  0.2401  0.6209 x4
O  0.1331  0.7569  0.8677 x4
O  0.1557  0.3690  0.4082 x4
O  0.1788  0.0707  0.4321 x4
O  0.1904  0.3894  0.1942 x4
O  0.2249  0.1193  0.2280 x4
O  0.2373  0.7229  0.1347 x4

Peak list (6 most intense, 2θ = 10–80°, low angle first)
| Position (°2θ) | I/Imax | h k l |
| --- | --- | --- |
| 12.7 | 44 | 1 1 0 |
| 19.8 | 75 | 0 2 1 |
| 26.9 | 52 | 3 1 -1 |
| 28.7 | 100 | 2 2 1 |
| 30.2 | 60 | 0 2 3 |
| 30.6 | 85 | 2 2 -3 |